# 1
Structure and calculated powder X-ray diffraction pattern of Mg14ZrMo (DFT lattice parameters and positions (PBE); Cu Kα (weighted mean of Kα1 and Kα2)).

Largest 6 diffraction maxima, sorted by position, 10 to 80 degrees two-theta:
2θ/deg	I_rel	h k l
18.11	290	1 0 2
33.25	381	0 2 2
35.42	406	4 0 0
36.69	609	2 0 4
37.82	1000	2 2 2
69.69	267	4 2 6

Atomic structure:
```
data_Mg14ZrMo
_chemical_formula_sum 'Mg28 Zr2 Mo2'
_cell_length_a 10.137
_cell_length_b 6.148
_cell_length_c 11.191
_cell_angle_alpha 90.00
_cell_angle_beta 90.00
_cell_angle_gamma 90.00
_symmetry_space_group_name_H-M 'A m m 2'
_symmetry_Int_Tables_number 38
_symmetry_space_group_name_Hall 'A 2 -2'
loop_
_atom_site_label
_atom_site_fract_x
_atom_site_fract_y
_atom_site_fract_z
_atom_site_occupancy
Mg1 0.000 0.000 0.000 1
Mg2 0.000 0.000 0.498 1
Mg3 0.000 0.248 0.250 1
Mg4 0.248 0.000 0.661 1
Mg5 0.257 0.244 0.916 1
Mg6 0.262 0.000 0.157 1
Mg7 0.500 0.246 0.752 1
Zr1 0.500 0.000 0.503 1
Mo1 0.500 0.000 0.003 1
```

# 2
Structure and calculated powder X-ray diffraction pattern of CaMg6Mn (DFT lattice parameters and positions (PBE); Cu Kα (weighted mean of Kα1 and Kα2)).

Largest 6 diffraction maxima, sorted by position, 10 to 80 degrees two-theta:
2θ/deg	I_rel	h k l
31.59	247	0 0 4
35.08	248	2 0 0
36.26	1000	1 2 2
56.26	171	0 4 0
63.70	173	3 2 2
68.05	181	2 4 0

Atomic structure:
```
data_CaMg6Mn
_chemical_formula_sum 'Ca2 Mg12 Mn2'
_cell_length_a 5.116
_cell_length_b 6.535
_cell_length_c 11.338
_cell_angle_alpha 90.00
_cell_angle_beta 90.00
_cell_angle_gamma 90.00
_symmetry_space_group_name_H-M 'A m m 2'
_symmetry_Int_Tables_number 38
_symmetry_space_group_name_Hall 'A 2 -2'
loop_
_atom_site_label
_atom_site_fract_x
_atom_site_fract_y
_atom_site_fract_z
_atom_site_occupancy
Ca1 0.000 0.000 0.000 1
Mg1 0.000 0.000 0.507 1
Mg2 0.000 0.238 0.754 1
Mg3 0.500 0.000 0.337 1
Mg4 0.500 0.241 0.593 1
Mn1 0.500 0.000 0.827 1
```

# 3
Structure and calculated powder X-ray diffraction pattern of DyInIr (DFT lattice parameters and positions (PBE); Cu Kα (weighted mean of Kα1 and Kα2)).

Largest 6 diffraction maxima, sorted by position, 10 to 80 degrees two-theta:
2θ/deg	I_rel	h k l
32.80	829	1 1 1
35.66	1000	2 0 1
36.54	333	2 1 0
41.65	480	3 0 0
43.26	386	2 1 1
66.97	339	3 2 1

Atomic structure:
```
data_DyInIr
_chemical_formula_sum 'Dy3 In3 Ir3'
_cell_length_a 7.5126
_cell_length_b 7.5126
_cell_length_c 3.9749
_cell_angle_alpha 90.00
_cell_angle_beta 90.00
_cell_angle_gamma 120.00
_symmetry_space_group_name_H-M 'P -6 2 m'
_symmetry_Int_Tables_number 189
_symmetry_space_group_name_Hall 'P -6 -2'
loop_
_atom_site_label
_atom_site_fract_x
_atom_site_fract_y
_atom_site_fract_z
_atom_site_occupancy
Dy1 0.0000 0.4058 0.0000 1
In1 0.0000 0.7431 0.5000 1
Ir1 0.0000 0.0000 0.0000 1
Ir2 0.3333 0.6667 0.5000 1
```

# 4
Structure and calculated powder X-ray diffraction pattern of Na2CdH4Se2O10 (DFT lattice parameters and positions (PBE); Cu Kα (weighted mean of Kα1 and Kα2)).

Largest 6 diffraction maxima, sorted by position, 10 to 80 degrees two-theta:
2θ/deg	I_rel	h k l
13.03	627	0 2 0
25.14	875	0 3 1
25.64	504	1 1 1
27.02	514	1 3 -1
28.09	635	1 2 1
30.86	1000	1 0 -2

Atomic structure:
```
data_Na2CdH4Se2O10
_chemical_formula_sum 'Na4 Cd2 H8 Se4 O20'
_cell_length_a 6.097
_cell_length_b 13.593
_cell_length_c 5.924
_cell_angle_alpha 90.00
_cell_angle_beta 106.54
_cell_angle_gamma 90.00
_symmetry_space_group_name_H-M 'P 1 21/c 1'
_symmetry_Int_Tables_number 14
_symmetry_space_group_name_Hall '-P 2ybc'
loop_
_atom_site_label
_atom_site_fract_x
_atom_site_fract_y
_atom_site_fract_z
_atom_site_occupancy
Na1 0.077 0.122 0.248 1
Cd1 0.500 0.000 0.000 1
H1 0.185 0.157 0.824 1
H2 0.401 0.207 0.003 1
Se1 0.264 0.620 0.926 1
O1 0.049 0.699 0.904 1
O2 0.212 0.556 0.671 1
O3 0.248 0.540 0.140 1
O4 0.304 0.146 0.978 1
O5 0.481 0.173 0.512 1
```

# 5
Structure and calculated powder X-ray diffraction pattern of Au (DFT lattice parameters and positions (PBE); Cu Kα (weighted mean of Kα1 and Kα2)).

Largest 3 diffraction maxima, sorted by position, 10 to 80 degrees two-theta:
2θ/deg	I_rel	h k l
38.41	1000	1 1 0
55.44	175	2 0 0
69.46	360	2 1 1

Atomic structure:
```
data_Au
_chemical_formula_sum 'Au2'
_cell_length_a 3.315
_cell_length_b 3.315
_cell_length_c 3.315
_cell_angle_alpha 90.00
_cell_angle_beta 90.00
_cell_angle_gamma 90.00
_symmetry_space_group_name_H-M 'I m -3 m'
_symmetry_Int_Tables_number 229
_symmetry_space_group_name_Hall '-I 4 2 3'
loop_
_atom_site_label
_atom_site_fract_x
_atom_site_fract_y
_atom_site_fract_z
_atom_site_occupancy
Au1 0.000 0.000 0.000 1
```